Computed X-ray diffraction stick pattern of CsBeVF6 for Cu Kα (weighted mean of Kα1 and Kα2), from a DFT-relaxed cell (GGA+U, Alexandria).

Most intense lines, 10 to 90 degrees two-theta, sorted by position:
hkl 1 1 0, 2θ = 20.13°, I = 26; hkl 0 1 -1, 2θ = 23.12°, I = 47; hkl 0 1 1, 2θ = 23.48°, I = 46; hkl 1 0 1, 2θ = 23.59°, I = 53; hkl 1 1 1, 2θ = 23.98°, I = 50; hkl 1 0 -1, 2θ = 24.74°, I = 100; hkl -1 1 1, 2θ = 36.76°, I = 29; hkl 1 -1 2, 2θ = 42.84°, I = 36

```
data_CsBeVF6
_chemical_formula_sum 'Cs1 Be1 V1 F6'
_space_group_name_H-M_alt 'P 1'
_space_group_IT_number 1
_space_group_name_Hall 'P 1'
_cell_length_a 5.038
_cell_length_b 5.309
_cell_length_c 6.521
_cell_angle_alpha 89.56
_cell_angle_beta 87.28
_cell_angle_gamma 62.57
loop_
_atom_site_label
_atom_site_type_symbol
_atom_site_fract_x
_atom_site_fract_y
_atom_site_fract_z
Cs1 Cs 0.000 0.000 0.000
Be1 Be 0.589 0.832 0.498
V1 V 0.299 0.409 0.499
F1 F 0.068 0.460 0.748
F2 F 0.320 0.055 0.366
F3 F 0.449 0.671 0.625
F4 F 0.478 0.461 0.250
F5 F 0.632 0.066 0.628
F6 F 0.891 0.662 0.376
```